The following is a calculated XRD peak list of AcBePtO5. It was derived from a DFT-relaxed cell (GGA-PBE, Alexandria), using Cu Kα, 1.54184 Å.

Principal peaks in the range 10° ≤ 2θ ≤ 90°, low angle first:
Position (°2θ)	d (Å)	Rel. int.
18.47	4.804	58
23.57	3.775	45
25.13	3.544	27
27.23	3.275	100
29.31	3.047	68
32.76	2.734	84
33.31	2.690	38
36.59	2.456	32
43.99	2.059	27
48.22	1.887	27

Structure:
```
AcBePtO5
1.0
3.2763 -4.5885 0.0000
3.2763 4.5885 0.0000
-2.6228 0.0000 6.6398
Ac Be Pt O
2 2 2 10
direct
0.1499 0.8501 0.7500
0.8501 0.1499 0.2500
0.2002 0.7998 0.2500
0.7998 0.2002 0.7500
0.5000 0.5000 0.0000
0.5000 0.5000 0.5000
0.1047 0.2621 0.9194
0.1956 0.6066 0.3906
0.2621 0.1047 0.4194
0.3934 0.8044 0.1094
0.4194 0.5806 0.7500
0.5806 0.4194 0.2500
0.6066 0.1956 0.8906
0.7379 0.8953 0.5806
0.8044 0.3934 0.6094
0.8953 0.7379 0.0806
```

The following is a calculated XRD peak list of Rb2AcBe2O4. It was derived from a DFT-relaxed cell (GGA-PBE, Alexandria), using Cu Kα, 1.54184 Å.

Principal peaks in the range 10° ≤ 2θ ≤ 90°, low angle first:
Position (°2θ)	d (Å)	Rel. int.
18.75	4.732	100
20.59	4.314	61
25.05	3.555	55
27.46	3.248	77
28.46	3.136	43
30.45	2.936	36
32.05	2.793	30
34.70	2.585	39
36.88	2.437	46
42.43	2.131	27

Structure:
```
Rb2AcBe2O4
1.0
6.5118 -1.8527 0.0000
6.5118 1.8527 0.0000
-2.3843 0.0000 9.4103
Rb Ac Be O
2 1 2 4
direct
0.1614 0.1614 0.1907
0.8386 0.8386 0.8093
0.0000 0.0000 0.5000
0.3114 0.3114 0.5313
0.6886 0.6886 0.4687
0.2028 0.2028 0.5668
0.4268 0.4268 0.6171
0.5732 0.5732 0.3829
0.7972 0.7972 0.4332
```

The following is a calculated XRD peak list of AcBeSb2O8. It was derived from a DFT-relaxed cell (GGA-PBE, Alexandria), using Cu Kα, 1.54184 Å.

Principal peaks in the range 10° ≤ 2θ ≤ 90°, low angle first:
Position (°2θ)	d (Å)	Rel. int.
13.94	6.355	30
22.65	3.926	80
22.97	3.872	97
27.30	3.266	59
33.43	2.681	100
35.97	2.497	35
40.15	2.246	20
47.46	1.916	57
52.28	1.750	37
63.05	1.474	29

Structure:
```
AcBeSb2O8
1.0
3.2664 -3.8722 0.0000
3.2664 3.8722 0.0000
0.0000 0.0000 6.3550
Ac Be Sb O
1 1 2 8
direct
0.0000 0.0000 0.0000
0.0000 0.0000 0.5000
0.5000 0.5000 0.2672
0.5000 0.5000 0.7328
0.1936 0.1936 0.3032
0.1936 0.1936 0.6968
0.3213 0.6787 0.5000
0.3391 0.6609 0.0000
0.6609 0.3391 0.0000
0.6787 0.3213 0.5000
0.8064 0.8064 0.3032
0.8064 0.8064 0.6968
```

The following is a calculated XRD peak list of Ac2BeSbO6. It was derived from a DFT-relaxed cell (GGA-PBE, Alexandria), using Cu Kα, 1.54184 Å.

Principal peaks in the range 10° ≤ 2θ ≤ 90°, low angle first:
Position (°2θ)	d (Å)	Rel. int.
19.16	4.632	9
22.16	4.011	31
31.54	2.836	100
37.17	2.419	6
38.89	2.316	22
45.21	2.006	28
50.91	1.794	16
56.17	1.638	41
65.86	1.418	18
74.90	1.268	12

Structure:
```
Ac2BeSbO6
1.0
5.6694 0.0000 0.0000
0.0000 8.0310 0.0000
0.0000 0.0000 5.6693
Ac Be Sb O
4 2 2 12
direct
0.2500 0.0000 0.2497
0.2500 0.5000 0.2497
0.7500 0.0000 0.7503
0.7500 0.5000 0.7503
0.2500 0.2500 0.7490
0.7500 0.7500 0.2510
0.2500 0.7500 0.7498
0.7500 0.2500 0.2502
0.0142 0.2500 0.5144
0.0140 0.2500 0.9862
0.2500 0.0137 0.7501
0.2500 0.4863 0.7501
0.4858 0.2500 0.5144
0.4860 0.2500 0.9862
0.5140 0.7500 0.0138
0.5142 0.7500 0.4856
0.7500 0.5137 0.2499
0.7500 0.9863 0.2499
0.9860 0.7500 0.0138
0.9858 0.7500 0.4856
```

The following is a calculated XRD peak list of AcBe4Sn3O12. It was derived from a DFT-relaxed cell (GGA-PBE, Alexandria), using Cu Kα, 1.54184 Å.

Principal peaks in the range 10° ≤ 2θ ≤ 90°, low angle first:
Position (°2θ)	d (Å)	Rel. int.
17.22	5.149	25
22.88	3.887	100
28.78	3.102	22
30.14	2.965	85
34.88	2.573	35
43.10	2.099	22
46.71	1.945	17
49.41	1.845	24
50.35	1.812	17
75.66	1.257	17

Structure:
```
AcBe4Sn3O12
1.0
5.1489 2.9727 2.6444
-5.1489 2.9727 2.6444
0.0000 -5.9455 2.6444
Ac Be Sn O
1 4 3 12
direct
0.0000 0.0000 0.0000
0.0613 0.5000 0.9387
0.5000 0.5000 0.5000
0.5000 0.9387 0.0613
0.9387 0.0613 0.5000
0.0000 0.5566 0.4434
0.4434 0.0000 0.5566
0.5566 0.4434 0.0000
0.0320 0.6347 0.7769
0.0906 0.9094 0.5000
0.2231 0.3653 0.9680
0.3490 0.6510 0.5000
0.3653 0.9680 0.2231
0.5000 0.0906 0.9094
0.5000 0.3490 0.6510
0.6347 0.7769 0.0320
0.6510 0.5000 0.3490
0.7769 0.0320 0.6347
0.9094 0.5000 0.0906
0.9680 0.2231 0.3653
```

The following is a calculated XRD peak list of Ac2BeTcO6. It was derived from a DFT-relaxed cell (GGA-PBE, Alexandria), using Cu Kα, 1.54184 Å.

Principal peaks in the range 10° ≤ 2θ ≤ 90°, low angle first:
Position (°2θ)	d (Å)	Rel. int.
19.53	4.545	21
22.51	3.950	18
24.52	3.630	37
29.25	3.053	97
32.22	2.779	100
40.90	2.206	22
44.07	2.055	49
51.53	1.774	19
55.63	1.652	33
57.44	1.604	20

Structure:
```
Ac2BeTcO6
1.0
2.7786 1.6042 9.2162
-2.7786 1.6042 9.2162
0.0000 -3.2085 9.2162
Ac Be Tc O
4 2 2 12
direct
0.1290 0.1290 0.1290
0.2901 0.2901 0.2901
0.7099 0.7099 0.7099
0.8710 0.8710 0.8710
0.0000 0.0000 0.0000
0.5000 0.5000 0.5000
0.4126 0.4126 0.4126
0.5874 0.5874 0.5874
0.1362 0.6216 0.6216
0.1993 0.1993 0.7189
0.1993 0.7189 0.1993
0.2811 0.8007 0.8007
0.3784 0.3784 0.8638
0.3784 0.8638 0.3784
0.6216 0.1362 0.6216
0.6216 0.6216 0.1362
0.7189 0.1993 0.1993
0.8007 0.2811 0.8007
0.8007 0.8007 0.2811
0.8638 0.3784 0.3784
```

The following is a calculated XRD peak list of Ac2TiBeO6. It was derived from a DFT-relaxed cell (GGA-PBE, Alexandria), using Cu Kα, 1.54184 Å.

Principal peaks in the range 10° ≤ 2θ ≤ 90°, low angle first:
Position (°2θ)	d (Å)	Rel. int.
19.66	4.516	40
24.76	3.595	59
29.59	3.019	100
32.39	2.764	96
39.72	2.269	19
41.20	2.191	32
44.44	2.039	55
52.15	1.754	28
56.06	1.641	33
57.77	1.596	23

Structure:
```
Ac2TiBeO6
1.0
2.7638 1.5957 9.0762
-2.7638 1.5957 9.0762
0.0000 -3.1914 9.0762
Ac Ti Be O
4 2 2 12
direct
0.1302 0.1302 0.1302
0.2877 0.2877 0.2877
0.7123 0.7123 0.7123
0.8698 0.8698 0.8698
0.4107 0.4107 0.4107
0.5893 0.5893 0.5893
0.0000 0.0000 0.0000
0.5000 0.5000 0.5000
0.1404 0.6180 0.6180
0.2032 0.2032 0.7137
0.2032 0.7137 0.2032
0.2863 0.7968 0.7968
0.3820 0.3820 0.8596
0.3820 0.8596 0.3820
0.6180 0.1404 0.6180
0.6180 0.6180 0.1404
0.7137 0.2032 0.2032
0.7968 0.2863 0.7968
0.7968 0.7968 0.2863
0.8596 0.3820 0.3820
```

The following is a calculated XRD peak list of AcBeTlO4. It was derived from a DFT-relaxed cell (GGA-PBE, Alexandria), using Cu Kα, 1.54184 Å.

Principal peaks in the range 10° ≤ 2θ ≤ 90°, low angle first:
Position (°2θ)	d (Å)	Rel. int.
23.75	3.746	100
27.95	3.192	32
31.91	2.804	30
32.26	2.775	46
35.67	2.517	12
41.17	2.192	13
41.35	2.183	22
42.93	2.107	32
48.60	1.873	15
52.19	1.753	13

Structure:
```
AcBeTlO4
1.0
5.3013 0.0000 0.0000
0.0000 5.6088 0.0000
-2.1097 0.0000 6.3935
Ac Be Tl O
2 2 2 8
direct
0.2112 0.2500 0.4163
0.7888 0.7500 0.5837
0.2576 0.7500 0.1842
0.7424 0.2500 0.8158
0.2970 0.2500 0.9513
0.7030 0.7500 0.0487
0.0662 0.7500 0.9453
0.0845 0.7500 0.3544
0.4735 0.5216 0.2340
0.4735 0.9784 0.2340
0.5265 0.0216 0.7660
0.5265 0.4784 0.7660
0.9155 0.2500 0.6456
0.9338 0.2500 0.0547
```